Starting from a structure optimized by DFT (PBE), the PXRD pattern of MgCuP2O7 was calculated for Cu Kα (weighted mean of Kα1 and Kα2).
Lines closer than 0.1° are merged.

Main lines, in order of falling intensity (2θ from 10° to 90°):
- (1 0 2), 28.39 deg, I 100
- (1 2 -2), 29.62 deg, I 95
- (2 1 -2), 29.87 deg, I 61
- (0 1 1), 14.78 deg, I 31
- (1 1 -1), 17.49 deg, I 29
- (3 3 -4), 58.78 deg, I 28
- (2 3 -2), 43.25 deg, I 27
- (1 1 3), 39.74 deg, I 20
- (2 2 0), 35.01 deg, I 20
- (0 2 4), 47.24 deg, I 18
- (1 1 -3), 30.97 deg, I 17
- (1 3 0), 35.32 deg, I 17

Crystal structure
```
44
Lattice="6.976 0.000 0.000 0.000 8.277 0.000 -3.270 0.000 8.693" Properties=species:S:1:pos:R:3 pbc="T T T"
Mg 0.291 0.511 2.750
Mg -1.345 3.627 7.096
Mg 5.050 4.649 1.597
Mg 3.415 7.766 5.943
Cu -1.054 0.577 7.746
Cu 0.581 3.561 3.400
Cu 3.124 4.716 5.293
Cu 4.760 7.700 0.947
P -2.937 6.044 8.443
P -1.302 6.371 4.097
P 2.176 6.066 2.225
P 0.541 6.350 6.572
P 3.164 1.927 2.121
P 1.529 2.211 6.467
P 5.008 1.905 4.596
P 6.643 2.233 0.249
O -2.049 0.753 5.576
O -0.414 3.386 1.230
O -0.956 5.021 3.434
O -2.591 7.395 7.780
O -0.583 1.999 3.898
O -2.219 2.139 8.244
O 1.400 5.649 0.872
O -0.235 6.767 5.218
O 1.684 1.983 2.555
O 0.049 2.156 6.902
O 0.008 5.044 7.079
O 1.643 7.371 2.732
O 1.982 4.894 3.215
O 0.347 7.521 7.562
O 3.358 0.756 1.131
O 1.723 3.383 5.477
O 2.062 0.906 5.960
O 3.698 3.233 1.614
O 3.657 6.121 1.791
O 2.021 6.294 6.137
O 3.940 1.510 3.474
O 2.305 2.628 7.821
O 5.924 6.138 0.449
O 4.289 6.278 4.795
O 6.296 0.882 0.913
O 4.661 3.256 5.259
O 4.119 4.891 7.463
O 5.754 7.524 3.117
```